Calculated powder diffraction line list
Compound: Sm12Al7Si
Radiation: Cu Kα
Structure: a crystal structure in the Materials Project, relaxed with GGA-PBE
Intensities are scaled so that the largest is 100.

The 8 most intense peaks (2θ from 5° to 70°), by angle:
Position (°2θ)	d [Å]	I (rel.)	index
22.70	3.917	37	0 0 4
23.88	3.726	37	2 1 3
31.54	2.836	91	4 1 1
31.93	2.803	35	3 3 0
32.10	2.789	40	3 2 3
33.02	2.713	100	3 1 4
35.56	2.525	28	4 1 3
51.70	1.768	33	4 1 7

Cell and atoms:
Lattice parameters (Å, degrees): 11.892 11.892 15.667 90.00 90.00 90.00
Space group I4/mcm (No. 140)
Symmetry-distinct sites (fractional):
1 Sm 0.000 0.500 0.148 [8 per cell]
2 Sm 0.066 0.197 0.136 [32 per cell]
3 Sm 0.168 0.332 0.500 [8 per cell]
4 Al 0.000 0.000 0.000 [4 per cell]
5 Al 0.119 0.381 0.000 [8 per cell]
6 Al 0.178 0.322 0.294 [16 per cell]
7 Si 0.000 0.000 0.250 [4 per cell]